Starting from the PBE+U geometry in Alexandria, the powder X-ray diffraction pattern of KVMoO6 was simulated for Cu Kα (λ = 1.5418 Å).

Structure:
Cell lengths 10.671, 3.764, 13.647 Å; angles 90.00, 90.00, 90.00 degrees
Space group Pnma (No. 62)
Inequivalent atoms, fractional coordinates:
K  0.109  0.250  0.141 x4
V  0.016  0.250  0.607 x4
Mo  0.234  0.250  0.425 x4
O  0.007  0.750  0.274 x4
O  0.025  0.250  0.426 x4
O  0.115  0.750  0.976 x4
O  0.174  0.250  0.588 x4
O  0.183  0.750  0.437 x4
O  0.239  0.750  0.800 x4

Main lines, in order of falling intensity (2θ from 10° to 90°):
Position (°2θ)	intensity	hkl
28.32	100	3 0 2
10.52	79	1 0 1
25.94	75	1 1 1
12.97	67	0 0 2
15.41	57	1 0 2
29.78	42	2 1 1